# 1
The following is a calculated PXRD pattern of Cs5SbSe4Cl2. It was derived from a cell relaxed with GGA-PBE, using CuKα.
Peak positions follow from Bragg's law for the DFT cell and can differ from measured ones.

Peak list (10 most intense, 2θ from 10° to 90°, low angle first)
- (0 1 1), d = 7.044 Å, I 24
- (0 0 2), d = 4.306 Å, I 26
- (2 1 1), d = 4.260 Å, I 70
- (2 2 0), d = 4.028 Å, I 25
- (0 3 1), d = 3.689 Å, I 82
- (2 0 2), d = 3.354 Å, I 29
- (2 2 2), d = 2.942 Å, I 100
- (4 0 0), d = 2.675 Å, I 29
- (4 3 1), d = 2.165 Å, I 27
- (2 5 1), d = 2.155 Å, I 42

```
data_Cs5SbSe4Cl2
_chemical_formula_sum 'Cs10 Sb2 Se8 Cl4'
_cell_length_a 10.6990
_cell_length_b 12.2457
_cell_length_c 8.6118
_cell_angle_alpha 90.00
_cell_angle_beta 90.00
_cell_angle_gamma 90.00
_space_group_name_H-M_alt 'A m m 2'
_space_group_IT_number 38
loop_
_space_group_symop_operation_xyz
'x,y,z'
'-x,-y,z'
'-x,y,z'
'x,-y,z'
'x,y+1/2,z+1/2'
'-x,-y+1/2,z+1/2'
'-x,y+1/2,z+1/2'
'x,-y+1/2,z+1/2'
loop_
_atom_site_label
_atom_site_fract_x
_atom_site_fract_y
_atom_site_fract_z
Cs1 0.0000 0.0000 0.0000
Cs2 0.2525 0.1962 0.5093
Sb1 0.5000 0.0000 0.9879
Se1 0.3081 0.0000 0.1576
Se2 0.5000 0.1637 0.8126
Cl1 0.0000 0.2299 0.7629
```

# 2
The following is a calculated PXRD pattern of Rb2Be2BiO6. It was derived from a cell relaxed with GGA-PBE, using CuKα.
Peak positions follow from Bragg's law for the DFT cell and can differ from measured ones.

Peak list (10 most intense, 2θ from 10° to 90°, low angle first)
- (0 0 1), d = 6.832 Å, I 19
- (1 0 0), d = 4.846 Å, I 16
- (0 1 1), d = 3.953 Å, I 100
- (1 0 2), d = 2.795 Å, I 85
- (2 0 1), d = 2.284 Å, I 30
- (0 2 2), d = 1.976 Å, I 17
- (1 1 3), d = 1.768 Å, I 46
- (2 1 2), d = 1.615 Å, I 24
- (0 1 4), d = 1.611 Å, I 10
- (3 0 3), d = 1.318 Å, I 17

```
data_Rb2Be2BiO6
_chemical_formula_sum 'Rb2 Be2 Bi1 O6'
_cell_length_a 5.5957
_cell_length_b 5.5957
_cell_length_c 6.8317
_cell_angle_alpha 90.00
_cell_angle_beta 90.00
_cell_angle_gamma 120.00
_space_group_name_H-M_alt 'P -3 m 1'
_space_group_IT_number 164
_space_group_name_Hall '-P 3 2"'
loop_
_atom_site_label
_atom_site_fract_x
_atom_site_fract_y
_atom_site_fract_z
Rb1 0.3333 0.6667 0.3489
Be1 0.3333 0.6667 0.8403
Bi1 0.0000 0.0000 0.0000
O1 0.1758 0.3516 0.8127
```

# 3
The following is a calculated PXRD pattern of Th5Pb3N. It was derived from a cell relaxed with GGA-PBE, using CuKα.
Peak positions follow from Bragg's law for the DFT cell and can differ from measured ones.

Peak list (10 most intense, 2θ from 10° to 90°, low angle first)
- (0 0 2), d = 3.242 Å, I 14
- (2 1 0), d = 3.104 Å, I 32
- (1 0 2), d = 3.015 Å, I 16
- (2 1 1), d = 2.799 Å, I 100
- (3 0 0), d = 2.737 Å, I 25
- (1 1 2), d = 2.676 Å, I 56
- (2 2 1), d = 2.226 Å, I 17
- (2 2 2), d = 1.913 Å, I 17
- (2 1 3), d = 1.773 Å, I 27
- (5 0 2), d = 1.465 Å, I 26

```
data_Th5Pb3N
_chemical_formula_sum 'Th10 Pb6 N2'
_cell_length_a 9.4819
_cell_length_b 9.4819
_cell_length_c 6.4831
_cell_angle_alpha 90.00
_cell_angle_beta 90.00
_cell_angle_gamma 120.00
_space_group_name_H-M_alt 'P 63/m c m'
_space_group_IT_number 193
_space_group_name_Hall '-P 6c 2'
loop_
_atom_site_label
_atom_site_fract_x
_atom_site_fract_y
_atom_site_fract_z
Th1 0.0000 0.2193 0.2500
Th2 0.3333 0.6667 0.0000
Pb1 0.0000 0.3991 0.7500
N1 0.0000 0.0000 0.0000
```

# 4
The following is a calculated PXRD pattern of CaNdDy2Tl4. It was derived from a cell relaxed with GGA-PBE, using CuKα.
Peak positions follow from Bragg's law for the DFT cell and can differ from measured ones.

Peak list (10 most intense, 2θ from 10° to 90°, low angle first)
- (0 1 8), d = 2.727 Å, I 100
- (1 1 0), d = 2.712 Å, I 99
- (2 0 8), d = 1.923 Å, I 37
- (1 0 16), d = 1.578 Å, I 19
- (1 2 8), d = 1.569 Å, I 38
- (3 0 0), d = 1.566 Å, I 19
- (0 2 16), d = 1.364 Å, I 12
- (2 2 0), d = 1.356 Å, I 12
- (2 1 16), d = 1.218 Å, I 16
- (3 1 8), d = 1.214 Å, I 16

```
data_CaNdDy2Tl4
_chemical_formula_sum 'Ca3 Nd3 Dy6 Tl12'
_cell_length_a 5.4231
_cell_length_b 5.4231
_cell_length_c 26.7985
_cell_angle_alpha 90.00
_cell_angle_beta 90.00
_cell_angle_gamma 120.00
_space_group_name_H-M_alt 'R -3 m'
_space_group_IT_number 166
_space_group_name_Hall '-R 3 2"'
loop_
_atom_site_label
_atom_site_fract_x
_atom_site_fract_y
_atom_site_fract_z
Ca1 0.0000 0.0000 0.0000
Nd1 0.0000 0.0000 0.5000
Dy1 0.0000 0.0000 0.2525
Tl1 0.0000 0.0000 0.1249
Tl2 0.0000 0.0000 0.3748
```

# 5
The following is a calculated PXRD pattern of Li5NdAg7. It was derived from a cell relaxed with GGA-PBE, using CuKα.
Peak positions follow from Bragg's law for the DFT cell and can differ from measured ones.

Peak list (10 most intense, 2θ from 10° to 90°, low angle first)
- (0 0 2), d = 4.682 Å, I 66
- (0 2 2), d = 3.320 Å, I 35
- (1 3 0), d = 2.700 Å, I 79
- (1 0 3), d = 2.689 Å, I 44
- (2 0 0), d = 2.648 Å, I 86
- (0 0 4), d = 2.340 Å, I 100
- (1 2 3), d = 2.335 Å, I 92
- (2 0 2), d = 2.305 Å, I 33
- (3 2 3), d = 1.461 Å, I 37
- (1 3 6), d = 1.351 Å, I 33

```
data_Li5NdAg7
_chemical_formula_sum 'Li10 Nd2 Ag14'
_cell_length_a 5.2951
_cell_length_b 9.4183
_cell_length_c 9.3633
_cell_angle_alpha 90.00
_cell_angle_beta 90.00
_cell_angle_gamma 90.00
_space_group_name_H-M_alt 'I m m 2'
_space_group_IT_number 44
loop_
_space_group_symop_operation_xyz
'x,y,z'
'-x,-y,z'
'-x,y,z'
'x,-y,z'
'x+1/2,y+1/2,z+1/2'
'-x+1/2,-y+1/2,z+1/2'
'-x+1/2,y+1/2,z+1/2'
'x+1/2,-y+1/2,z+1/2'
loop_
_atom_site_label
_atom_site_fract_x
_atom_site_fract_y
_atom_site_fract_z
Li1 0.0000 0.0000 0.0000
Li2 0.2473 0.2478 0.4792
Nd1 0.0000 0.5000 0.7391
Ag1 0.0000 0.0000 0.4476
Ag2 0.0000 0.1511 0.7305
Ag3 0.0000 0.2157 0.2261
Ag4 0.0000 0.5000 0.0847
Ag5 0.0000 0.5000 0.3897
```

# 6
The following is a calculated PXRD pattern of Cs5Sr. It was derived from a cell relaxed with GGA-PBE, using CuKα.
Peak positions follow from Bragg's law for the DFT cell and can differ from measured ones.

Peak list (10 most intense, 2θ from 10° to 90°, low angle first)
- (1 3 1), d = 4.127 Å, I 100
- (2 0 0), d = 4.116 Å, I 20
- (0 0 2), d = 2.917 Å, I 24
- (0 6 2), d = 2.385 Å, I 26
- (2 0 2), d = 2.378 Å, I 28
- (2 6 2), d = 2.062 Å, I 12
- (3 9 1), d = 1.846 Å, I 11
- (1 3 3), d = 1.844 Å, I 13
- (3 3 3), d = 1.559 Å, I 9
- (5 3 1), d = 1.557 Å, I 10

```
data_Cs5Sr
_chemical_formula_sum 'Cs10 Sr2'
_cell_length_a 8.2319
_cell_length_b 24.8191
_cell_length_c 5.8317
_cell_angle_alpha 90.00
_cell_angle_beta 90.00
_cell_angle_gamma 90.00
_space_group_name_H-M_alt 'C m m m'
_space_group_IT_number 65
_space_group_name_Hall '-C 2 2'
loop_
_atom_site_label
_atom_site_fract_x
_atom_site_fract_y
_atom_site_fract_z
Cs1 0.0000 0.0000 0.0000
Cs2 0.0000 0.1642 0.5000
Cs3 0.0000 0.3433 0.0000
Sr1 0.0000 0.5000 0.5000
```